Starting from the GGA+U geometry in Alexandria, the X-ray powder pattern of Sr3Ca5Ti3Mn5O24 was simulated for CuKα.

The 10 most intense peaks (2θ from 5° to 70°), in order of falling intensity:
2θ = 32.83°, I = 1000, hkl 2 0 2
2θ = 32.97°, I = 983, hkl 2 0 -2
2θ = 47.15°, I = 535, hkl 0 4 0
2θ = 58.85°, I = 281, hkl 2 -4 2
2θ = 47.35°, I = 277, hkl 4 0 0
2θ = 58.75°, I = 261, hkl 2 4 -2
2θ = 68.88°, I = 133, hkl 4 4 0
2θ = 69.21°, I = 130, hkl 4 -4 0
2θ = 40.64°, I = 125, hkl -2 2 2
2θ = 58.48°, I = 116, hkl 2 4 2

Crystal structure
```
data_Sr3Ca5Ti3Mn5O24
_cell_length_a 7.680
_cell_length_b 7.705
_cell_length_c 7.716
_cell_angle_alpha 89.78
_cell_angle_beta 89.75
_cell_angle_gamma 89.77
_symmetry_space_group_name_H-M 'P 1'
_symmetry_Int_Tables_number 1
loop_
_symmetry_equiv_pos_as_xyz
'x,y,z'
loop_
_atom_site_label
_atom_site_fract_x
_atom_site_fract_y
_atom_site_fract_z
Sr1 0.000 0.000 0.000
Sr2 0.001 0.505 0.997
Sr3 0.496 0.020 0.024
Ca1 0.001 0.000 0.495
Ca2 0.002 0.489 0.499
Ca3 0.496 0.526 0.033
Ca4 0.497 0.027 0.533
Ca5 0.498 0.536 0.526
Ti1 0.747 0.262 0.267
Ti2 0.748 0.265 0.760
Ti3 0.748 0.762 0.267
Mn1 0.250 0.261 0.266
Mn2 0.250 0.265 0.758
Mn3 0.250 0.760 0.267
Mn4 0.250 0.763 0.758
Mn5 0.747 0.763 0.759
O1 0.000 0.802 0.730
O2 0.002 0.734 0.300
O3 0.003 0.244 0.791
O4 0.003 0.291 0.238
O5 0.206 0.227 0.512
O6 0.216 0.011 0.236
O7 0.216 0.515 0.717
O8 0.226 0.732 0.012
O9 0.284 0.510 0.302
O10 0.286 0.014 0.785
O11 0.289 0.299 0.010
O12 0.290 0.800 0.512
O13 0.496 0.228 0.296
O14 0.496 0.289 0.716
O15 0.496 0.776 0.236
O16 0.499 0.716 0.789
O17 0.713 0.797 0.515
O18 0.716 0.293 0.010
O19 0.718 0.011 0.785
O20 0.722 0.511 0.296
O21 0.770 0.736 0.009
O22 0.775 0.010 0.239
O23 0.780 0.517 0.722
O24 0.784 0.230 0.511
```